Simulated powder diffractogram
Compound: AcTl3W2O9
Radiation: copper Kα
Structure: a structure optimized by DFT (PBE+U)
Lines closer than 0.1° are merged.

Largest 10 diffraction maxima, in order of falling intensity, 15 to 90 degrees two-theta:
- 28.79°, rel. 1000, (0 1 2)
- 29.84°, rel. 953, (1 1 0)
- 41.94°, rel. 492, (2 0 2)
- 52.31°, rel. 384, (1 2 2)
- 52.96°, rel. 199, (3 0 0)
- 69.74°, rel. 174, (3 1 2)
- 50.35°, rel. 169, (1 0 4)
- 61.98°, rel. 160, (2 2 0)
- 68.10°, rel. 147, (2 1 4)
- 59.63°, rel. 128, (0 2 4)

Structure:
a = 5.9894 Å, b = 5.9894 Å, c = 7.7372 Å
α = 90.00°, β = 90.00°, γ = 120.00°
Space group P-3m1 (No. 164)
One atom of each set of equivalent atoms:
Ac1 0.0000 0.0000 0.0000 x1
Tl1 0.0000 0.0000 0.5000 x1
Tl2 0.3333 0.6667 0.2036 x2
W1 0.3333 0.6667 0.6559 x2
O1 0.0000 0.5000 0.5000 x3
O2 0.1822 0.3644 0.7897 x6